This entry pairs a crystal structure of HoTm4Sc8 with its simulated powder diffraction line list. Radiation: Cu Kα (λ = 1.5418 Å). Structure: a structure optimized by DFT (PBE).

Peak list (10 most intense, 10 to 90 degrees two-theta, low angle first)
hkl 1 1 0, 2θ = 17.11°, I = 11; hkl 0 0 3, 2θ = 21.00°, I = 43; hkl 2 0 2, 2θ = 24.29°, I = 19; hkl 1 1 3, 2θ = 27.21°, I = 9; hkl 2 2 0, 2θ = 34.62°, I = 100; hkl 2 2 3, 2θ = 40.85°, I = 23; hkl 4 0 4, 2θ = 49.78°, I = 17; hkl 2 2 6, 2θ = 56.14°, I = 9; hkl 6 0 0, 2θ = 62.03°, I = 26; hkl 6 2 4, 2θ = 83.43°, I = 15

Structural model:
abc: 10.3697 10.3697 12.6738
angles: 90.00 90.00 120.00
Space group R-3m (No. 166, hexagonal axes)
Inequivalent atoms, fractional coordinates:
Ho (0.0000, 0.0000, 0.0000) x3
Tm (0.0000, 0.0000, 0.5000) x3
Tm (0.0000, 0.5000, 0.5000) x9
Sc (0.0000, 0.0000, 0.2595) x6
Sc (0.0124, 0.5062, 0.2464) x18